Structure and simulated powder XRD pattern of NaYPO4F (DFT lattice parameters and positions (GGA-PBE); Cu Kα (weighted mean of Kα1 and Kα2)).
Lines closer than 0.1° are merged.

Structural model:
```
16
Lattice="4.518 -3.504 0.000 4.518 3.504 0.000 -1.804 0.000 6.285" Properties=species:S:1:pos:R:3 pbc="T T T"
Na 4.518 2.052 0.000
Na 4.518 -2.052 0.000
Y 0.853 0.000 3.878
Y 6.380 0.000 2.407
P 2.721 0.000 1.407
P 4.512 0.000 4.878
O 2.131 1.228 2.169
O 0.414 0.000 6.233
O 2.131 -1.228 2.169
O 2.970 0.000 4.849
O 4.263 0.000 1.436
O 5.102 1.228 4.116
O 6.819 0.000 0.052
O 5.102 -1.228 4.116
F -0.398 0.000 1.946
F 7.631 0.000 4.339
```

Most intense lines, 2θ from 5° to 70°, by angle:
- 14.09 deg, 6.285 Å, I = 43
- 20.45 deg, 4.343 Å, I = 57
- 25.42 deg, 3.504 Å, I = 100
- 28.01 deg, 3.185 Å, I = 83
- 30.26 deg, 2.953 Å, I = 80
- 32.85 deg, 2.726 Å, I = 73
- 38.21 deg, 2.356 Å, I = 43
- 41.56 deg, 2.173 Å, I = 52
- 47.93 deg, 1.898 Å, I = 38
- 52.24 deg, 1.751 Å, I = 37

=====

Structure and simulated powder XRD pattern of NaPbO2F (DFT lattice parameters and positions (GGA-PBE); Cu Kα (weighted mean of Kα1 and Kα2)).
Lines closer than 0.1° are merged.

Structural model:
```
5
Lattice="4.252 0.000 0.000 0.000 4.252 0.000 0.000 0.000 4.525" Properties=species:S:1:pos:R:3 pbc="T T T"
Na 0.000 0.000 0.000
Pb 2.126 2.126 2.263
O 0.000 2.126 2.263
O 2.126 0.000 2.263
F 2.126 2.126 0.000
```

Most intense lines, 2θ from 5° to 70°, by angle:
- 19.62 deg, 4.525 Å, I = 54
- 20.89 deg, 4.252 Å, I = 100
- 28.81 deg, 3.099 Å, I = 100
- 29.71 deg, 3.007 Å, I = 49
- 42.52 deg, 2.126 Å, I = 32
- 45.41 deg, 1.997 Å, I = 27
- 47.24 deg, 1.924 Å, I = 23
- 47.83 deg, 1.902 Å, I = 23
- 50.48 deg, 1.808 Å, I = 24
- 52.18 deg, 1.753 Å, I = 41

=====

Structure and simulated powder XRD pattern of Na5Pr4Si4O16F (DFT lattice parameters and positions (GGA-PBE); Cu Kα (weighted mean of Kα1 and Kα2)).
Lines closer than 0.1° are merged.

Structural model:
```
30
Lattice="-6.052 6.052 2.775 6.052 -6.052 2.775 6.052 6.052 -2.775" Properties=species:S:1:pos:R:3 pbc="T T T"
Na 0.000 0.000 0.000
Na 7.124 1.274 0.092
Na 1.274 4.980 -0.092
Na 4.779 1.072 2.683
Na -1.072 4.779 2.866
Pr 4.635 3.820 0.119
Pr 2.232 -1.417 2.656
Pr 3.820 7.469 -0.119
Pr 1.417 2.232 2.893
Si 3.005 1.224 -0.057
Si 4.828 -3.047 2.831
Si 1.224 9.099 0.057
Si 3.047 4.828 2.718
O 6.493 3.427 -1.321
O 4.639 1.279 0.172
O 2.462 2.776 -0.308
O 3.828 5.488 -1.547
O 9.328 2.462 0.308
O 2.224 0.564 1.228
O 4.773 -1.413 2.603
O -0.441 2.625 1.453
O 1.279 7.465 -0.172
O 6.616 3.828 1.547
O 3.427 5.611 1.321
O 3.590 3.276 2.466
O 2.625 0.441 4.096
O -3.276 3.590 3.083
O 1.413 4.773 2.946
O -0.564 2.224 4.322
F 0.000 0.000 2.775
```

Most intense lines, 2θ from 5° to 70°, by angle:
- 10.34 deg, 8.559 Å, I = 59
- 17.58 deg, 5.044 Å, I = 100
- 22.95 deg, 3.875 Å, I = 59
- 23.24 deg, 3.828 Å, I = 52
- 27.33 deg, 3.263 Å, I = 75
- 31.14 deg, 2.872 Å, I = 93
- 32.26 deg, 2.775 Å, I = 56
- 34.57 deg, 2.595 Å, I = 68
- 46.89 deg, 1.937 Å, I = 54
- 48.61 deg, 1.873 Å, I = 47

=====

Structure and simulated powder XRD pattern of Na2PuO2F2 (DFT lattice parameters and positions (GGA-PBE); Cu Kα (weighted mean of Kα1 and Kα2)).
Lines closer than 0.1° are merged.

Structural model:
```
7
Lattice="-2.163 2.163 6.128 2.163 -2.163 6.128 2.163 2.163 -6.128" Properties=species:S:1:pos:R:3 pbc="T T T"
Na 0.000 0.000 1.680
Na 0.000 0.000 10.576
Pu 0.000 0.000 6.128
O 2.163 0.000 0.000
O 0.000 2.163 0.000
F 0.000 0.000 3.860
F 0.000 0.000 8.396
```

Most intense lines, 2θ from 5° to 70°, by angle:
- 14.45 deg, 6.128 Å, I = 73
- 21.79 deg, 4.079 Å, I = 100
- 29.19 deg, 3.060 Å, I = 56
- 30.09 deg, 2.970 Å, I = 54
- 41.75 deg, 2.163 Å, I = 35
- 42.39 deg, 2.133 Å, I = 32
- 44.40 deg, 2.040 Å, I = 27
- 47.59 deg, 1.911 Å, I = 26
- 52.33 deg, 1.748 Å, I = 25
- 61.02 deg, 1.519 Å, I = 21

=====

Structure and simulated powder XRD pattern of Na5SO4F2 (DFT lattice parameters and positions (GGA-PBE); Cu Kα (weighted mean of Kα1 and Kα2)).
Lines closer than 0.1° are merged.

Structural model:
```
12
Lattice="6.741 0.000 0.000 0.000 4.589 2.948 0.000 -4.589 2.948" Properties=species:S:1:pos:R:3 pbc="T T T"
Na 0.000 0.000 0.000
Na 1.619 -1.699 3.054
Na 1.619 1.699 3.054
Na 5.122 -1.699 3.054
Na 5.122 1.699 3.054
S 3.371 0.000 0.163
O 2.144 0.000 1.039
O 3.371 -3.348 2.247
O 3.371 3.348 2.247
O 4.597 0.000 1.039
F 0.000 -2.639 1.732
F 0.000 2.639 1.732
```

Most intense lines, 2θ from 5° to 70°, by angle:
- 17.88 deg, 4.961 Å, I = 52
- 22.25 deg, 3.996 Å, I = 24
- 23.45 deg, 3.793 Å, I = 30
- 30.32 deg, 2.948 Å, I = 20
- 32.11 deg, 2.788 Å, I = 85
- 32.99 deg, 2.716 Å, I = 100
- 40.66 deg, 2.219 Å, I = 17
- 42.76 deg, 2.115 Å, I = 16
- 45.40 deg, 1.998 Å, I = 68
- 59.45 deg, 1.555 Å, I = 19

=====

Structure and simulated powder XRD pattern of NaZnSO4F (DFT lattice parameters and positions (GGA-PBE); Cu Kα (weighted mean of Kα1 and Kα2)).
Lines closer than 0.1° are merged.

Structural model:
```
16
Lattice="3.387 -4.360 0.000 3.387 4.360 0.000 -2.955 0.000 6.604" Properties=species:S:1:pos:R:3 pbc="T T T"
Na 1.171 2.933 4.953
Na 2.648 -2.933 1.651
Zn 3.387 0.000 0.000
Zn 1.910 0.000 3.302
S 2.648 2.785 1.651
S 1.171 -2.785 4.953
O -1.550 0.691 5.956
O 1.631 1.931 2.346
O -0.073 -0.691 2.654
O 3.666 1.931 0.956
O 0.153 -1.931 5.647
O 3.892 0.691 3.950
O 2.188 -1.931 4.258
O 5.369 -0.691 0.648
F 1.171 0.748 4.953
F 2.648 -0.748 1.651
```

Most intense lines, 2θ from 5° to 70°, by angle:
- 17.58 deg, 5.044 Å, I = 53
- 18.23 deg, 4.866 Å, I = 15
- 26.90 deg, 3.314 Å, I = 82
- 28.88 deg, 3.092 Å, I = 65
- 34.07 deg, 2.631 Å, I = 100
- 42.42 deg, 2.131 Å, I = 21
- 52.30 deg, 1.749 Å, I = 20
- 52.49 deg, 1.743 Å, I = 20
- 54.60 deg, 1.681 Å, I = 20
- 60.84 deg, 1.522 Å, I = 14

=====

Structure and simulated powder XRD pattern of NaSbO2F4 (DFT lattice parameters and positions (GGA-PBE); Cu Kα (weighted mean of Kα1 and Kα2)).
Lines closer than 0.1° are merged.

Structural model:
```
16
Lattice="2.809 -4.720 0.000 2.809 4.720 0.000 -0.240 0.000 9.637" Properties=species:S:1:pos:R:3 pbc="T T T"
Na 2.689 4.639 4.818
Na 2.809 -4.639 0.000
Sb 2.751 1.512 2.400
Sb 2.631 -1.512 7.219
O 1.016 1.714 3.323
O 0.896 -1.714 8.141
O 4.336 1.827 6.335
O 4.456 -1.827 1.516
F 1.973 0.116 1.286
F 3.569 2.888 3.514
F 1.853 -0.116 6.104
F 4.269 1.549 1.217
F 3.584 0.204 3.533
F 3.464 -0.204 8.351
F 4.149 -1.549 6.036
F 3.449 -2.888 8.333
```

Most intense lines, 2θ from 5° to 70°, by angle:
- 18.40 deg, 4.821 Å, I = 93
- 20.40 deg, 4.353 Å, I = 92
- 20.76 deg, 4.279 Å, I = 86
- 20.96 deg, 4.239 Å, I = 100
- 25.85 deg, 3.447 Å, I = 37
- 26.42 deg, 3.373 Å, I = 56
- 33.80 deg, 2.652 Å, I = 38
- 37.92 deg, 2.373 Å, I = 47
- 50.70 deg, 1.801 Å, I = 33
- 57.24 deg, 1.609 Å, I = 27

=====

Structure and simulated powder XRD pattern of Na5Sm4Si4O16F (DFT lattice parameters and positions (GGA-PBE); Cu Kα (weighted mean of Kα1 and Kα2)).
Lines closer than 0.1° are merged.

Structural model:
```
30
Lattice="-5.944 5.944 2.754 5.944 -5.944 2.754 5.944 5.944 -2.754" Properties=species:S:1:pos:R:3 pbc="T T T"
Na 0.000 0.000 0.000
Na 7.002 1.253 -0.076
Na 1.253 4.886 0.076
Na 4.691 1.058 2.830
Na -1.058 4.691 2.679
Sm 4.564 3.764 -0.126
Sm 2.180 -1.380 2.881
Sm 3.764 7.324 0.126
Sm 1.380 2.180 2.628
Si 2.945 1.221 0.060
Si 4.723 -2.999 2.694
Si 1.221 8.943 -0.060
Si 2.999 4.723 2.815
O 6.519 3.746 -1.503
O 4.581 1.279 -0.129
O 9.117 2.424 -0.346
O 3.431 5.527 -1.325
O 2.513 0.417 1.430
O 2.424 2.771 0.346
O 4.665 -1.363 2.884
O -0.575 2.198 1.251
O 6.361 3.431 1.325
O 1.279 7.307 0.129
O 3.746 5.369 1.503
O -3.173 3.520 2.409
O 2.198 0.575 4.258
O 3.520 3.173 3.100
O 1.363 4.665 2.625
O -0.417 2.513 4.079
F 0.000 0.000 2.754
```

Most intense lines, 2θ from 5° to 70°, by angle:
- 10.52 deg, 8.406 Å, I = 59
- 17.74 deg, 4.998 Å, I = 100
- 23.25 deg, 3.826 Å, I = 54
- 23.67 deg, 3.759 Å, I = 51
- 27.73 deg, 3.217 Å, I = 69
- 31.63 deg, 2.829 Å, I = 82
- 32.51 deg, 2.754 Å, I = 50
- 35.13 deg, 2.554 Å, I = 63
- 41.36 deg, 2.183 Å, I = 42
- 47.54 deg, 1.913 Å, I = 48

=====

Structure and simulated powder XRD pattern of Na5Tb4Si4O16F (DFT lattice parameters and positions (GGA-PBE); Cu Kα (weighted mean of Kα1 and Kα2)).
Lines closer than 0.1° are merged.

Structural model:
```
30
Lattice="-5.857 5.857 2.731 5.857 -5.857 2.731 5.857 5.857 -2.731" Properties=species:S:1:pos:R:3 pbc="T T T"
Na 0.000 0.000 0.000
Na 6.904 1.233 0.063
Na 1.233 4.810 -0.063
Na 4.624 1.047 2.669
Na -1.047 4.624 2.794
Tb 4.505 3.719 0.129
Tb 2.138 -1.352 2.602
Tb 3.719 7.209 -0.129
Tb 1.352 2.138 2.861
Si 2.897 1.215 -0.064
Si 4.642 -2.960 2.795
Si 1.215 8.817 0.064
Si 2.960 4.642 2.667
O 6.256 3.422 -1.314
O 4.533 1.282 0.100
O 2.394 2.762 -0.376
O 3.687 5.282 -1.470
O 8.952 2.394 0.376
O 2.170 0.575 1.261
O 4.575 -1.324 2.631
O -0.399 2.435 1.417
O 6.432 3.687 1.470
O 1.282 7.181 -0.100
O 3.463 3.095 2.356
O 3.422 5.458 1.314
O 2.435 0.399 4.046
O -3.095 3.463 3.107
O 1.324 4.575 2.832
O -0.575 2.170 4.201
F 0.000 0.000 2.731
```

Most intense lines, 2θ from 5° to 70°, by angle:
- 10.68 deg, 8.283 Å, I = 58
- 17.92 deg, 4.951 Å, I = 100
- 23.53 deg, 3.781 Å, I = 49
- 24.02 deg, 3.704 Å, I = 50
- 28.09 deg, 3.177 Å, I = 65
- 32.05 deg, 2.792 Å, I = 74
- 32.79 deg, 2.731 Å, I = 46
- 35.62 deg, 2.521 Å, I = 60
- 41.96 deg, 2.153 Å, I = 40
- 48.13 deg, 1.891 Å, I = 44

=====

Structure and simulated powder XRD pattern of Na5Tm4Si4O16F (DFT lattice parameters and positions (GGA-PBE); Cu Kα (weighted mean of Kα1 and Kα2)).
Lines closer than 0.1° are merged.

Structural model:
```
30
Lattice="-5.770 5.770 2.705 5.770 -5.770 2.705 5.770 5.770 -2.705" Properties=species:S:1:pos:R:3 pbc="T T T"
Na 0.000 0.000 0.000
Na 6.805 1.210 0.049
Na 1.210 4.736 -0.049
Na 4.561 1.035 2.656
Na -1.035 4.561 2.753
Tm 4.446 3.676 0.130
Tm 2.095 -1.325 2.575
Tm 3.676 7.095 -0.130
Tm 1.325 2.095 2.834
Si 2.850 1.208 -0.066
Si 4.563 -2.920 2.771
Si 1.208 8.691 0.066
Si 2.920 4.563 2.639
O 6.156 3.404 -1.296
O 4.484 1.285 0.080
O 2.364 2.751 -0.401
O 3.634 5.202 -1.438
O 8.790 2.364 0.401
O 2.136 0.568 1.267
O 4.485 -1.286 2.624
O -0.385 2.366 1.409
O 6.339 3.634 1.438
O 1.285 7.057 -0.080
O 3.406 3.020 2.303
O 3.404 5.385 1.296
O 2.366 0.385 4.000
O -3.020 3.406 3.106
O 1.286 4.485 2.785
O -0.568 2.136 4.142
F 0.000 0.000 2.705
```

Most intense lines, 2θ from 5° to 70°, by angle:
- 10.84 deg, 8.161 Å, I = 58
- 18.11 deg, 4.898 Å, I = 100
- 23.83 deg, 3.734 Å, I = 45
- 24.39 deg, 3.650 Å, I = 50
- 28.47 deg, 3.135 Å, I = 62
- 32.50 deg, 2.755 Å, I = 66
- 33.12 deg, 2.705 Å, I = 41
- 36.13 deg, 2.486 Å, I = 56
- 42.59 deg, 2.123 Å, I = 38
- 48.78 deg, 1.867 Å, I = 40

=====

Structure and simulated powder XRD pattern of Na2U2O5F2 (DFT lattice parameters and positions (GGA-PBE); Cu Kα (weighted mean of Kα1 and Kα2)).
Lines closer than 0.1° are merged.

Structural model:
```
11
Lattice="-2.126 2.126 10.381 2.126 -2.126 10.381 2.126 2.126 -10.381" Properties=species:S:1:pos:R:3 pbc="T T T"
Na 0.000 0.000 3.814
Na 0.000 0.000 16.949
U 0.000 0.000 8.283
U 0.000 0.000 12.480
O 2.126 0.000 2.375
O 2.126 0.000 8.006
O 0.000 0.000 10.381
O 0.000 2.126 2.375
O 0.000 2.126 8.006
F 0.000 0.000 6.032
F 0.000 0.000 14.731
```

Most intense lines, 2θ from 5° to 70°, by angle:
- 17.08 deg, 5.191 Å, I = 50
- 21.33 deg, 4.166 Å, I = 100
- 29.71 deg, 3.007 Å, I = 39
- 30.08 deg, 2.971 Å, I = 60
- 34.48 deg, 2.601 Å, I = 18
- 42.52 deg, 2.126 Å, I = 24
- 44.69 deg, 2.028 Å, I = 22
- 46.14 deg, 1.968 Å, I = 16
- 48.04 deg, 1.894 Å, I = 24
- 52.96 deg, 1.729 Å, I = 27